Entry 1:
For Li5Nd4Hg6, a DFT-relaxed cell (PBE, Alexandria) gives the simulated powder diffractogram in this record (CuKα).

Crystal structure
```
data_Li5Nd4Hg6
_space_group_name_H-M_alt 'C m c 21'
_space_group_IT_number 36
_cell_length_a 4.817
_cell_length_b 22.211
_cell_length_c 13.958
_cell_angle_alpha 90.00
_cell_angle_beta 90.00
_cell_angle_gamma 90.00
loop_
_space_group_symop_operation_xyz
'x,y,z'
'-x,-y,z+1/2'
'-x,y,z'
'x,-y,z+1/2'
'x+1/2,y+1/2,z'
'-x+1/2,-y+1/2,z+1/2'
'-x+1/2,y+1/2,z'
'x+1/2,-y+1/2,z+1/2'
loop_
_atom_site_label
_atom_site_type_symbol
_atom_site_fract_x
_atom_site_fract_y
_atom_site_fract_z
Li1 Li 0.000 0.037 0.000
Li2 Li 0.000 0.161 0.328
Li3 Li 0.000 0.166 0.959
Li4 Li 0.000 0.193 0.628
Li5 Li 0.000 0.319 0.994
Nd1 Nd 0.000 0.319 0.298
Nd2 Nd 0.000 0.364 0.643
Nd3 Nd 0.000 0.452 0.861
Nd4 Nd 0.000 0.457 0.136
Hg1 Hg 0.000 0.050 0.206
Hg2 Hg 0.000 0.081 0.791
Hg3 Hg 0.000 0.097 0.503
Hg4 Hg 0.000 0.229 0.129
Hg5 Hg 0.000 0.272 0.815
Hg6 Hg 0.000 0.420 0.445
```

Largest 8 diffraction maxima, in order of falling intensity, 2θ = 10–90°:
- 33.53°, intensity 100
- 37.33°, intensity 55
- 31.92°, intensity 40
- 26.94°, intensity 38
- 37.73°, intensity 36
- 22.93°, intensity 33
- 24.04°, intensity 29
- 28.06°, intensity 26

---

Entry 2:
For Li2Nd3Hg5, a DFT-relaxed cell (PBE, Alexandria) gives the simulated powder diffractogram in this record (CuKα).

Crystal structure
```
data_Li2Nd3Hg5
_space_group_name_H-M_alt 'P 4/m b m'
_space_group_IT_number 127
_space_group_name_Hall '-P 4 2ab'
_cell_length_a 11.018
_cell_length_b 11.018
_cell_length_c 3.966
_cell_angle_alpha 90.00
_cell_angle_beta 90.00
_cell_angle_gamma 90.00
loop_
_atom_site_label
_atom_site_type_symbol
_atom_site_fract_x
_atom_site_fract_y
_atom_site_fract_z
Li1 Li 0.116 0.384 0.000
Nd1 Nd 0.000 0.000 0.000
Nd2 Nd 0.178 0.678 0.000
Hg1 Hg 0.000 0.500 0.500
Hg2 Hg 0.064 0.217 0.500
```

Largest 8 diffraction maxima, in order of falling intensity, 2θ = 10–90°:
- 34.26°, intensity 100
- 33.53°, intensity 71
- 28.90°, intensity 62
- 32.21°, intensity 43
- 57.88°, intensity 39
- 37.14°, intensity 37
- 36.47°, intensity 34
- 64.22°, intensity 28

---

Entry 3:
For Li4NdHg12, a DFT-relaxed cell (PBE, Alexandria) gives the simulated powder diffractogram in this record (CuKα).

Crystal structure
```
data_Li4NdHg12
_space_group_name_H-M_alt 'I m -3'
_space_group_IT_number 204
_space_group_name_Hall '-I 2 2 3'
_cell_length_a 9.436
_cell_length_b 9.436
_cell_length_c 9.436
_cell_angle_alpha 90.00
_cell_angle_beta 90.00
_cell_angle_gamma 90.00
loop_
_atom_site_label
_atom_site_type_symbol
_atom_site_fract_x
_atom_site_fract_y
_atom_site_fract_z
Li1 Li 0.250 0.250 0.250
Nd1 Nd 0.000 0.000 0.000
Hg1 Hg 0.000 0.342 0.159
```

Largest 8 diffraction maxima, in order of falling intensity, 2θ = 10–90°:
- 29.94°, intensity 100
- 35.60°, intensity 40
- 49.24°, intensity 29
- 58.70°, intensity 20
- 67.30°, intensity 19
- 56.90°, intensity 14
- 89.30°, intensity 11
- 76.95°, intensity 10

---

Entry 4:
For Li5NdHg7, a DFT-relaxed cell (PBE, Alexandria) gives the simulated powder diffractogram in this record (CuKα).

Crystal structure
```
data_Li5NdHg7
_space_group_name_H-M_alt 'I m m 2'
_space_group_IT_number 44
_cell_length_a 5.477
_cell_length_b 9.968
_cell_length_c 9.760
_cell_angle_alpha 90.00
_cell_angle_beta 90.00
_cell_angle_gamma 90.00
loop_
_space_group_symop_operation_xyz
'x,y,z'
'-x,-y,z'
'-x,y,z'
'x,-y,z'
'x+1/2,y+1/2,z+1/2'
'-x+1/2,-y+1/2,z+1/2'
'-x+1/2,y+1/2,z+1/2'
'x+1/2,-y+1/2,z+1/2'
loop_
_atom_site_label
_atom_site_type_symbol
_atom_site_fract_x
_atom_site_fract_y
_atom_site_fract_z
Li1 Li 0.000 0.000 0.000
Li2 Li 0.246 0.246 0.487
Nd1 Nd 0.000 0.500 0.747
Hg1 Hg 0.000 0.000 0.467
Hg2 Hg 0.000 0.163 0.751
Hg3 Hg 0.000 0.187 0.221
Hg4 Hg 0.000 0.500 0.096
Hg5 Hg 0.000 0.500 0.414
```

Largest 8 diffraction maxima, in order of falling intensity, 2θ = 10–90°:
- 31.49°, intensity 100
- 36.60°, intensity 96
- 32.70°, intensity 86
- 36.85°, intensity 75
- 25.55°, intensity 58
- 32.00°, intensity 53
- 18.18°, intensity 45
- 41.95°, intensity 37

---

Entry 5:
For Li4NdHg8, a DFT-relaxed cell (PBE, Alexandria) gives the simulated powder diffractogram in this record (CuKα).

Crystal structure
```
data_Li4NdHg8
_space_group_name_H-M_alt 'I 4/m m m'
_space_group_IT_number 139
_space_group_name_Hall '-I 4 2'
_cell_length_a 9.875
_cell_length_b 9.875
_cell_length_c 5.587
_cell_angle_alpha 90.00
_cell_angle_beta 90.00
_cell_angle_gamma 90.00
loop_
_atom_site_label
_atom_site_type_symbol
_atom_site_fract_x
_atom_site_fract_y
_atom_site_fract_z
Li1 Li 0.250 0.250 0.250
Nd1 Nd 0.000 0.000 0.000
Hg1 Hg 0.000 0.214 0.500
Hg2 Hg 0.000 0.337 0.000
```

Largest 8 diffraction maxima, in order of falling intensity, 2θ = 10–90°:
- 36.54°, intensity 100
- 25.51°, intensity 57
- 32.04°, intensity 56
- 31.55°, intensity 49
- 41.39°, intensity 36
- 65.58°, intensity 32
- 41.00°, intensity 31
- 36.39°, intensity 26

---

Entry 6:
For Li7Nd3Hg4, a DFT-relaxed cell (PBE, Alexandria) gives the simulated powder diffractogram in this record (CuKα).

Crystal structure
```
data_Li7Nd3Hg4
_space_group_name_H-M_alt 'C 1 2/m 1'
_space_group_IT_number 12
_cell_length_a 16.370
_cell_length_b 4.908
_cell_length_c 9.259
_cell_angle_alpha 90.00
_cell_angle_beta 123.72
_cell_angle_gamma 90.00
loop_
_space_group_symop_operation_xyz
'x,y,z'
'-x,-y,-z'
'-x,y,-z'
'x,-y,z'
'x+1/2,y+1/2,z'
'-x+1/2,-y+1/2,-z'
'-x+1/2,y+1/2,-z'
'x+1/2,-y+1/2,z'
loop_
_atom_site_label
_atom_site_type_symbol
_atom_site_fract_x
_atom_site_fract_y
_atom_site_fract_z
Li1 Li 0.000 0.000 0.000
Li2 Li 0.005 0.500 0.177
Li3 Li 0.142 0.000 0.939
Li4 Li 0.159 0.500 0.510
Nd1 Nd 0.000 0.000 0.500
Nd2 Nd 0.223 0.500 0.224
Hg1 Hg 0.134 0.000 0.337
Hg2 Hg 0.151 0.500 0.797
```

Largest 8 diffraction maxima, in order of falling intensity, 2θ = 10–90°:
- 34.32°, intensity 100
- 24.40°, intensity 92
- 33.56°, intensity 77
- 24.27°, intensity 75
- 36.63°, intensity 65
- 32.45°, intensity 52
- 23.10°, intensity 42
- 49.73°, intensity 36

---

Entry 7:
For Li2NdHg6, a DFT-relaxed cell (PBE, Alexandria) gives the simulated powder diffractogram in this record (CuKα).

Crystal structure
Cell: 12.545 12.545 12.545 Å, 90.00 90.00 90.00°
Space group Fd-3m (No. 227, origin choice 2)
Asymmetric unit:
Li (0.000, 0.000, 0.000) (multiplicity 16)
Nd (0.125, 0.125, 0.625) (multiplicity 8)
Hg (0.125, 0.125, 0.375) (multiplicity 48)

Largest 8 diffraction maxima, in order of falling intensity, 2θ = 10–90°:
- 28.46°, intensity 100
- 40.68°, intensity 81
- 66.69°, intensity 37
- 74.04°, intensity 29
- 50.40°, intensity 28
- 20.02°, intensity 17
- 58.89°, intensity 14
- 88.09°, intensity 10

---

Entry 8:
For LiNd6Hg5, a DFT-relaxed cell (PBE, Alexandria) gives the simulated powder diffractogram in this record (CuKα).

Crystal structure
```
data_LiNd6Hg5
_space_group_name_H-M_alt 'P 1 2/m 1'
_space_group_IT_number 10
_cell_length_a 5.398
_cell_length_b 7.677
_cell_length_c 8.571
_cell_angle_alpha 90.00
_cell_angle_beta 108.40
_cell_angle_gamma 90.00
loop_
_space_group_symop_operation_xyz
'x,y,z'
'-x,-y,-z'
'-x,y,-z'
'x,-y,z'
loop_
_atom_site_label
_atom_site_type_symbol
_atom_site_fract_x
_atom_site_fract_y
_atom_site_fract_z
Li1 Li 0.000 0.000 0.000
Nd1 Nd 0.168 0.248 0.338
Nd2 Nd 0.500 0.255 0.000
Hg1 Hg 0.000 0.500 0.000
Hg2 Hg 0.336 0.500 0.670
Hg3 Hg 0.345 0.000 0.685
```

Largest 8 diffraction maxima, in order of falling intensity, 2θ = 10–90°:
- 33.06°, intensity 100
- 59.02°, intensity 30
- 33.19°, intensity 20
- 59.22°, intensity 15
- 47.54°, intensity 14
- 69.36°, intensity 12
- 47.37°, intensity 7
- 78.89°, intensity 7

---

Entry 9:
For LiPrNd2Hg4, a DFT-relaxed cell (PBE, Alexandria) gives the simulated powder diffractogram in this record (CuKα).

Crystal structure
```
data_LiPrNd2Hg4
_space_group_name_H-M_alt 'R -3 m'
_space_group_IT_number 166
_space_group_name_Hall '-R 3 2"'
_cell_length_a 5.2655
_cell_length_b 5.2655
_cell_length_c 26.7314
_cell_angle_alpha 90.00
_cell_angle_beta 90.00
_cell_angle_gamma 120.00
loop_
_atom_site_label
_atom_site_type_symbol
_atom_site_fract_x
_atom_site_fract_y
_atom_site_fract_z
Li1 Li 0.0000 0.0000 0.0000
Pr1 Pr 0.0000 0.0000 0.5000
Nd1 Nd 0.0000 0.0000 0.2563
Hg1 Hg 0.0000 0.0000 0.1207
Hg2 Hg 0.0000 0.0000 0.3732
```

Largest 8 diffraction maxima, in order of falling intensity, 2θ = 10–90°:
- 33.24°, intensity 100
- 34.05°, intensity 98
- 60.44°, intensity 37
- 48.33°, intensity 35
- 23.62°, intensity 21
- 60.95°, intensity 19
- 58.87°, intensity 18
- 81.35°, intensity 16